Record 1
For SmB3W, a cell relaxed with GGA-PBE gives the calculated X-ray powder pattern in this record (CuKα).
Neutral-atom scattering factors, no anomalous dispersion.

Main lines, by intensity (5 to 70 degrees two-theta):
- 31.2°, rel. 100
- 41.8°, rel. 97
- 27.1°, rel. 62
- 40.7°, rel. 56
- 29.7°, rel. 53
- 61.1°, rel. 30
- 65.5°, rel. 24
- 53.7°, rel. 24
- 63.7°, rel. 12
- 64.7°, rel. 12

```
data_SmB3W
_chemical_formula_sum 'Sm2 B6 W2'
_cell_length_a 6.843
_cell_length_b 6.843
_cell_length_c 3.285
_cell_angle_alpha 90.00
_cell_angle_beta 90.00
_cell_angle_gamma 123.04
_symmetry_space_group_name_H-M 'P 1'
_symmetry_Int_Tables_number 1
_symmetry_space_group_name_Hall 'P 1'
loop_
_atom_site_label
_atom_site_type_symbol
_atom_site_fract_x
_atom_site_fract_y
_atom_site_fract_z
Sm1 Sm 0.000 0.000 0.000
Sm2 Sm 0.500 0.500 0.000
B1 B 0.113 0.360 0.500
B2 B 0.187 0.813 0.500
B3 B 0.360 0.113 0.500
B4 B 0.640 0.887 0.500
B5 B 0.813 0.187 0.500
B6 B 0.887 0.640 0.500
W1 W 0.000 0.500 0.000
W2 W 0.500 0.000 0.000
```


Record 2
For SmY2B6, a cell relaxed with GGA-PBE gives the calculated X-ray powder pattern in this record (CuKα).
Neutral-atom scattering factors, no anomalous dispersion.

Main lines, by intensity (5 to 70 degrees two-theta):
- 38.9°, rel. 100
- 31.2°, rel. 68
- 22.6°, rel. 42
- 56.8°, rel. 25
- 55.6°, rel. 19
- 60.7°, rel. 18
- 69.9°, rel. 17
- 46.1°, rel. 11
- 17.9°, rel. 9
- 65.1°, rel. 8

```
data_SmY2B6
_chemical_formula_sum 'Sm1 Y2 B6'
_cell_length_a 5.730
_cell_length_b 5.730
_cell_length_c 3.936
_cell_angle_alpha 90.00
_cell_angle_beta 90.00
_cell_angle_gamma 120.00
_symmetry_space_group_name_H-M 'P 1'
_symmetry_Int_Tables_number 1
_symmetry_space_group_name_Hall 'P 1'
loop_
_atom_site_label
_atom_site_type_symbol
_atom_site_fract_x
_atom_site_fract_y
_atom_site_fract_z
Sm1 Sm 0.000 0.000 0.000
Y1 Y 0.333 0.667 0.000
Y2 Y 0.667 0.333 0.000
B1 B 0.000 0.337 0.500
B2 B 0.000 0.663 0.500
B3 B 0.337 0.000 0.500
B4 B 0.337 0.337 0.500
B5 B 0.663 0.000 0.500
B6 B 0.663 0.663 0.500
```


Record 3
For Sn3B, a cell relaxed with GGA-PBE gives the calculated X-ray powder pattern in this record (CuKα).
Neutral-atom scattering factors, no anomalous dispersion.

Main lines, by intensity (5 to 70 degrees two-theta):
- 34.5°, rel. 100
- 41.4°, rel. 28
- 22.4°, rel. 24
- 56.7°, rel. 22
- 37.0°, rel. 19
- 65.0°, rel. 15
- 47.6°, rel. 11
- 18.3°, rel. 10
- 60.0°, rel. 10
- 29.0°, rel. 7

```
data_Sn3B
_chemical_formula_sum 'Sn3 B1'
_cell_length_a 5.754
_cell_length_b 5.754
_cell_length_c 5.754
_cell_angle_alpha 135.48
_cell_angle_beta 135.48
_cell_angle_gamma 64.78
_symmetry_space_group_name_H-M 'P 1'
_symmetry_Int_Tables_number 1
_symmetry_space_group_name_Hall 'P 1'
loop_
_atom_site_label
_atom_site_type_symbol
_atom_site_fract_x
_atom_site_fract_y
_atom_site_fract_z
Sn1 Sn 0.000 0.000 0.000
Sn2 Sn 0.250 0.750 0.500
Sn3 Sn 0.750 0.250 0.500
B1 B 0.500 0.500 0.000
```


Record 4
For Sn3B, a cell relaxed with GGA-PBE gives the calculated X-ray powder pattern in this record (CuKα).
Neutral-atom scattering factors, no anomalous dispersion.

Main lines, by intensity (5 to 70 degrees two-theta):
- 34.3°, rel. 100
- 39.8°, rel. 50
- 68.7°, rel. 42
- 57.5°, rel. 35
- 19.6°, rel. 27
- 27.8°, rel. 23
- 44.7°, rel. 14
- 49.3°, rel. 10
- 61.4°, rel. 7
- 65.1°, rel. 5

```
data_Sn3B
_chemical_formula_sum 'Sn3 B1'
_cell_length_a 4.531
_cell_length_b 4.531
_cell_length_c 4.531
_cell_angle_alpha 90.00
_cell_angle_beta 90.00
_cell_angle_gamma 90.00
_symmetry_space_group_name_H-M 'P 1'
_symmetry_Int_Tables_number 1
_symmetry_space_group_name_Hall 'P 1'
loop_
_atom_site_label
_atom_site_type_symbol
_atom_site_fract_x
_atom_site_fract_y
_atom_site_fract_z
Sn1 Sn 0.000 0.000 0.500
Sn2 Sn 0.000 0.500 0.000
Sn3 Sn 0.500 0.000 0.000
B1 B 0.500 0.500 0.500
```


Record 5
For SnB6, a cell relaxed with GGA-PBE gives the calculated X-ray powder pattern in this record (CuKα).
Neutral-atom scattering factors, no anomalous dispersion.

Main lines, by intensity (5 to 70 degrees two-theta):
- 30.1°, rel. 100
- 21.1°, rel. 54
- 48.4°, rel. 50
- 37.1°, rel. 43
- 66.8°, rel. 31
- 53.4°, rel. 27
- 43.1°, rel. 22
- 62.5°, rel. 10

```
data_SnB6
_chemical_formula_sum 'Sn1 B6'
_cell_length_a 4.202
_cell_length_b 4.202
_cell_length_c 4.202
_cell_angle_alpha 90.00
_cell_angle_beta 90.00
_cell_angle_gamma 90.00
_symmetry_space_group_name_H-M 'P 1'
_symmetry_Int_Tables_number 1
_symmetry_space_group_name_Hall 'P 1'
loop_
_atom_site_label
_atom_site_type_symbol
_atom_site_fract_x
_atom_site_fract_y
_atom_site_fract_z
Sn1 Sn 0.000 0.000 0.000
B1 B 0.202 0.500 0.500
B2 B 0.500 0.202 0.500
B3 B 0.500 0.500 0.202
B4 B 0.500 0.500 0.798
B5 B 0.500 0.798 0.500
B6 B 0.798 0.500 0.500
```


Record 6
For SrSnB12, a cell relaxed with GGA-PBE gives the calculated X-ray powder pattern in this record (CuKα).
Neutral-atom scattering factors, no anomalous dispersion.

Main lines, by intensity (5 to 70 degrees two-theta):
- 30.1°, rel. 100
- 48.4°, rel. 49
- 21.1°, rel. 47
- 37.1°, rel. 43
- 66.8°, rel. 30
- 53.4°, rel. 24
- 43.1°, rel. 22
- 62.5°, rel. 9
- 18.3°, rel. 4
- 35.4°, rel. 3

```
data_SrSnB12
_chemical_formula_sum 'Sr1 Sn1 B12'
_cell_length_a 5.943
_cell_length_b 5.943
_cell_length_c 5.943
_cell_angle_alpha 60.00
_cell_angle_beta 60.00
_cell_angle_gamma 60.00
_symmetry_space_group_name_H-M 'P 1'
_symmetry_Int_Tables_number 1
_symmetry_space_group_name_Hall 'P 1'
loop_
_atom_site_label
_atom_site_type_symbol
_atom_site_fract_x
_atom_site_fract_y
_atom_site_fract_z
Sr1 Sr 0.000 0.000 0.000
Sn1 Sn 0.500 0.500 0.500
B1 B 0.101 0.101 0.399
B2 B 0.101 0.399 0.101
B3 B 0.101 0.399 0.399
B4 B 0.399 0.101 0.101
B5 B 0.399 0.101 0.399
B6 B 0.399 0.399 0.101
B7 B 0.601 0.601 0.899
B8 B 0.601 0.899 0.601
B9 B 0.601 0.899 0.899
B10 B 0.899 0.601 0.601
B11 B 0.899 0.601 0.899
B12 B 0.899 0.899 0.601
```


Copy entry 2 word for word.
For SmY2B6, a cell relaxed with GGA-PBE gives the calculated X-ray powder pattern in this record (CuKα).
Neutral-atom scattering factors, no anomalous dispersion.

Main lines, by intensity (5 to 70 degrees two-theta):
- 38.9°, rel. 100
- 31.2°, rel. 68
- 22.6°, rel. 42
- 56.8°, rel. 25
- 55.6°, rel. 19
- 60.7°, rel. 18
- 69.9°, rel. 17
- 46.1°, rel. 11
- 17.9°, rel. 9
- 65.1°, rel. 8

```
data_SmY2B6
_chemical_formula_sum 'Sm1 Y2 B6'
_cell_length_a 5.730
_cell_length_b 5.730
_cell_length_c 3.936
_cell_angle_alpha 90.00
_cell_angle_beta 90.00
_cell_angle_gamma 120.00
_symmetry_space_group_name_H-M 'P 1'
_symmetry_Int_Tables_number 1
_symmetry_space_group_name_Hall 'P 1'
loop_
_atom_site_label
_atom_site_type_symbol
_atom_site_fract_x
_atom_site_fract_y
_atom_site_fract_z
Sm1 Sm 0.000 0.000 0.000
Y1 Y 0.333 0.667 0.000
Y2 Y 0.667 0.333 0.000
B1 B 0.000 0.337 0.500
B2 B 0.000 0.663 0.500
B3 B 0.337 0.000 0.500
B4 B 0.337 0.337 0.500
B5 B 0.663 0.000 0.500
B6 B 0.663 0.663 0.500
```